No. 1
The following is a simulated XRD peak list of Rb5Ti2Se6. It was derived from a cell relaxed with PBE, using Cu Kα, 1.54184 Å.

Main lines, by angle (5 to 70 degrees two-theta):
12.71 deg, rel. 63; 24.14 deg, rel. 100; 24.88 deg, rel. 100; 25.70 deg, rel. 53; 26.57 deg, rel. 93; 27.58 deg, rel. 84; 29.09 deg, rel. 61; 30.27 deg, rel. 57; 30.86 deg, rel. 44; 40.03 deg, rel. 59

Structural model:
Cell: 8.0219 8.0219 17.8614 Å, 100.15 100.15 65.08°
Fractional coordinates of all 26 atoms:
Rb 0.1324 0.8676 0.7500
Rb 0.1840 0.7060 0.0016
Rb 0.2434 0.4381 0.2752
Rb 0.2940 0.8160 0.4984
Rb 0.4381 0.2434 0.7752
Rb 0.5619 0.7566 0.2248
Rb 0.7060 0.1840 0.5016
Rb 0.7566 0.5619 0.7248
Rb 0.8160 0.2940 0.9984
Rb 0.8676 0.1324 0.2500
Ti 0.1323 0.4115 0.5703
Ti 0.4115 0.1323 0.0703
Ti 0.5885 0.8677 0.9297
Ti 0.8677 0.5885 0.4297
Se 0.0982 0.1938 0.6373
Se 0.1515 0.2941 0.4326
Se 0.1938 0.0982 0.1373
Se 0.2941 0.1515 0.9326
Se 0.3898 0.4848 0.6260
Se 0.4848 0.3898 0.1260
Se 0.5152 0.6102 0.8740
Se 0.6102 0.5152 0.3740
Se 0.7059 0.8485 0.0674
Se 0.8062 0.9018 0.8627
Se 0.8485 0.7059 0.5674
Se 0.9018 0.8062 0.3627

No. 2
The following is a simulated XRD peak list of La5Pa3Sb8. It was derived from a cell relaxed with PBE, using Cu Kα, 1.54184 Å.

Main lines, by angle (5 to 70 degrees two-theta):
11.91 deg, rel. 5; 24.15 deg, rel. 4; 27.89 deg, rel. 100; 39.73 deg, rel. 38; 39.99 deg, rel. 38; 49.02 deg, rel. 7; 49.46 deg, rel. 21; 57.64 deg, rel. 13; 65.04 deg, rel. 17; 65.41 deg, rel. 18

Structural model:
Cell: 9.0758 9.0758 9.0758 Å, 59.59 59.59 59.59°
Fractional coordinates of all 16 atoms:
La 0.0000 0.0000 0.0000
La 0.0000 0.5000 0.5000
La 0.5000 0.0000 0.5000
La 0.5000 0.5000 0.0000
La 0.5000 0.5000 0.5000
Pa 0.0000 0.0000 0.5000
Pa 0.0000 0.5000 0.0000
Pa 0.5000 0.0000 0.0000
Sb 0.2384 0.7500 0.7500
Sb 0.2451 0.2451 0.2451
Sb 0.2500 0.2500 0.7616
Sb 0.2500 0.7616 0.2500
Sb 0.7500 0.2384 0.7500
Sb 0.7500 0.7500 0.2384
Sb 0.7549 0.7549 0.7549
Sb 0.7616 0.2500 0.2500

No. 3
The following is a simulated XRD peak list of Ca2In5Cl12. It was derived from a cell relaxed with PBE, using Cu Kα, 1.54184 Å.

Main lines, by angle (5 to 70 degrees two-theta):
20.24 deg, rel. 84; 21.26 deg, rel. 25; 22.42 deg, rel. 100; 29.63 deg, rel. 42; 31.52 deg, rel. 35; 33.78 deg, rel. 31; 35.43 deg, rel. 23; 36.66 deg, rel. 26; 40.01 deg, rel. 24; 43.30 deg, rel. 27

Structural model:
Cell: 9.1243 9.1243 9.0110 Å, 105.55 105.55 54.52°
Fractional coordinates of all 19 atoms:
Ca 0.2474 0.7526 0.0000
Ca 0.7526 0.2474 0.0000
In 0.1780 0.1780 0.7739
In 0.2192 0.2192 0.3688
In 0.4950 0.4950 0.4938
In 0.7855 0.7855 0.5829
In 0.7961 0.7961 0.0877
Cl 0.0033 0.0033 0.8018
Cl 0.0374 0.6074 0.8838
Cl 0.1683 0.5888 0.4390
Cl 0.4025 0.8203 0.5436
Cl 0.4320 0.9210 0.1075
Cl 0.4813 0.4813 0.1861
Cl 0.5000 0.5000 0.7980
Cl 0.5888 0.1683 0.4390
Cl 0.6074 0.0374 0.8838
Cl 0.8203 0.4025 0.5436
Cl 0.9210 0.4320 0.1075
Cl 0.9809 0.9809 0.1936